This entry pairs a crystal structure of Na2SmWN4 with its theoretical powder diffractogram. Radiation: Cu Kα, 1.54184 Å. Structure: DFT lattice parameters and positions (PBE).
No peak broadening, texture or thermal motion is included.

Peak list (12 most intense, 2θ from 10° to 90°, in order of rising 2θ)
index	2theta	d_spacing	I/Imax
1 1 0	20.3	4.374	100
0 0 2	27.8	3.205	15
2 0 0	28.9	3.093	59
1 1 2	34.7	2.585	82
2 0 2	40.5	2.226	35
2 2 0	41.3	2.187	28
3 1 0	46.4	1.956	18
2 2 2	50.5	1.807	16
3 1 2	55.0	1.670	50
2 0 4	65.6	1.423	13
4 2 0	67.7	1.383	13
5 1 2	85.6	1.135	12

Atomic structure:
Unit cell a=6.186 b=6.186 c=6.410 alpha=90.00 beta=90.00 gamma=90.00
Space group I-42m (No. 121)
Inequivalent atoms, fractional coordinates:
Na: 0.000 0.500 0.250 x4
Sm: 0.000 0.000 0.000 x2
W: 0.000 0.000 0.500 x2
N: 0.167 0.167 0.314 x8

---

This entry pairs a crystal structure of NaSn2N2 with its theoretical powder diffractogram. Radiation: Cu Kα, 1.54184 Å. Structure: DFT lattice parameters and positions (PBE).
No peak broadening, texture or thermal motion is included.

Peak list (12 most intense, 2θ from 10° to 90°, in order of rising 2θ)
index	2theta	d_spacing	I/Imax
0 0 2	14.7	6.023	100
1 1 0	27.9	3.201	27
0 0 4	29.7	3.011	24
1 1 2	31.7	2.827	67
2 0 0	39.8	2.264	26
1 1 4	41.2	2.193	25
2 0 2	42.7	2.119	28
2 0 4	50.4	1.809	22
1 1 6	53.9	1.701	20
2 2 2	59.8	1.547	10
3 1 2	67.2	1.393	17
3 1 6	82.8	1.166	12

Atomic structure:
Unit cell a=4.527 b=4.527 c=12.045 alpha=90.00 beta=90.00 gamma=90.00
Space group I4/mmm (No. 139)
Inequivalent atoms, fractional coordinates:
Na: 0.000 0.000 0.000 x2
Sn: 0.000 0.500 0.250 x4
N: 0.000 0.000 0.193 x4